# Li2Ti3FeO8
Calculated X-ray powder pattern, copper Kα. Input: a DFT-relaxed cell (GGA+U, Alexandria).
Intensities are scaled so that the largest is 100.

Cell and atoms:
Cell: 5.975 5.982 6.018 Å, 119.74 119.63 90.05°
Element x y z (fractional)
Li: 0.000 0.000 0.000
Li: 0.142 0.382 0.763
Ti: 0.497 0.975 0.468
Ti: 0.499 0.033 0.008
Ti: 0.501 0.497 0.528
Fe: 0.863 0.619 0.244
O: 0.283 0.763 0.528
O: 0.289 0.247 0.500
O: 0.291 0.254 0.044
O: 0.293 0.790 0.042
O: 0.719 0.238 0.476
O: 0.721 0.210 0.964
O: 0.721 0.746 0.961
O: 0.724 0.758 0.514

Top 12 peaks for 2θ from 15° to 90°, low angle first:
| Position (°2θ) | d_spacing | I (rel.) |
| --- | --- | --- |
| 18.07 | 4.909 | 98 |
| 21.02 | 4.227 | 30 |
| 29.64 | 3.014 | 34 |
| 29.91 | 2.988 | 16 |
| 34.76 | 2.581 | 48 |
| 35.15 | 2.553 | 100 |
| 42.09 | 2.147 | 17 |
| 42.78 | 2.114 | 34 |
| 55.67 | 1.651 | 19 |
| 56.52 | 1.628 | 32 |
| 61.54 | 1.507 | 35 |
| 62.10 | 1.495 | 23 |